Structure and calculated powder X-ray diffraction pattern of Ta3Br2 (a crystal structure in OQMD, relaxed with PBE; Cu Ka).

Crystal structure
```
data_Ta3Br2
_cell_length_a 6.8469
_cell_length_b 6.8469
_cell_length_c 14.6400
_cell_angle_alpha 90.00
_cell_angle_beta 90.00
_cell_angle_gamma 120.00
_symmetry_space_group_name_H-M 'R -3 c'
_symmetry_Int_Tables_number 167
_symmetry_space_group_name_Hall '-R 3 2"c'
loop_
_atom_site_label
_atom_site_type_symbol
_atom_site_fract_x
_atom_site_fract_y
_atom_site_fract_z
_atom_site_occupancy
Ta1 Ta 0.0000 0.2393 0.2500 1
Br1 Br 0.0000 0.0000 0.0981 1
```

Largest 10 diffraction maxima, by angle, 15° ≤ 2θ ≤ 90°:
d 4.608, 2θ = 19.26°, intensity 34, hkl 0 1 2; d 2.803, 2θ = 31.93°, intensity 100, hkl 1 1 3; d 2.748, 2θ = 32.59°, intensity 23, hkl 2 0 2; d 2.440, 2θ = 36.84°, intensity 47, hkl 0 0 6; d 2.304, 2θ = 39.10°, intensity 24, hkl 0 2 4; d 2.215, 2θ = 40.73°, intensity 67, hkl 2 1 1; d 2.143, 2θ = 42.17°, intensity 28, hkl 1 2 2; d 1.911, 2θ = 47.58°, intensity 32, hkl 2 1 4; d 1.780, 2θ = 51.34°, intensity 34, hkl 1 2 5; d 1.529, 2θ = 60.55°, intensity 21, hkl 2 1 7

Structure and calculated powder X-ray diffraction pattern of TaBr8 (a crystal structure in OQMD, relaxed with PBE; Cu Ka).

Crystal structure
```
data_TaBr8
_cell_length_a 10.4117
_cell_length_b 10.4117
_cell_length_c 3.1000
_cell_angle_alpha 90.00
_cell_angle_beta 90.00
_cell_angle_gamma 120.00
_symmetry_space_group_name_H-M 'P 6/m m m'
_symmetry_Int_Tables_number 191
_symmetry_space_group_name_Hall '-P 6 2'
loop_
_atom_site_label
_atom_site_type_symbol
_atom_site_fract_x
_atom_site_fract_y
_atom_site_fract_z
_atom_site_occupancy
Ta1 Ta 0.0000 0.0000 0.0000 1
Br1 Br 0.1510 0.3020 0.5000 1
Br2 Br 0.3333 0.6667 0.5000 1
```

Largest 10 diffraction maxima, by angle, 15° ≤ 2θ ≤ 90°:
d 5.206, 2θ = 17.03°, intensity 34, hkl 1 1 0; d 3.100, 2θ = 28.80°, intensity 21, hkl 0 0 1; d 2.603, 2θ = 34.46°, intensity 100, hkl 2 2 0; d 2.554, 2θ = 35.13°, intensity 77, hkl 2 0 1; d 2.293, 2θ = 39.29°, intensity 39, hkl 2 1 1; d 2.069, 2θ = 43.76°, intensity 25, hkl 3 2 0; d 1.993, 2θ = 45.50°, intensity 26, hkl 2 2 1; d 1.823, 2θ = 50.03°, intensity 26, hkl 4 0 1; d 1.493, 2θ = 62.16°, intensity 22, hkl 4 2 1; d 1.332, 2θ = 70.74°, intensity 24, hkl 2 2 2

Structure and calculated powder X-ray diffraction pattern of Ta2Br (a crystal structure in OQMD, relaxed with PBE; Cu Ka).

Crystal structure
a = 7.9881 Å, b = 7.9881 Å, c = 7.9881 Å
α = 90.00°, β = 90.00°, γ = 90.00°
Space group Fd-3m (No. 227, origin choice 2)
One atom of each set of equivalent atoms:
Ta1 0.0000 0.0000 0.0000 (multiplicity 16)
Br1 0.1250 0.1250 0.6250 (multiplicity 8)

Largest 10 diffraction maxima, by angle, 15° ≤ 2θ ≤ 90°:
d 4.612, 2θ = 19.25°, intensity 44, hkl 1 1 1; d 2.824, 2θ = 31.68°, intensity 9, hkl 2 2 0; d 2.409, 2θ = 37.34°, intensity 100, hkl 3 1 1; d 2.306, 2θ = 39.06°, intensity 67, hkl 2 2 2; d 1.997, 2θ = 45.42°, intensity 20, hkl 4 0 0; d 1.833, 2θ = 49.75°, intensity 12, hkl 3 3 1; d 1.537, 2θ = 60.19°, intensity 33, hkl 5 1 1; d 1.412, 2θ = 66.18°, intensity 33, hkl 4 4 0; d 1.218, 2θ = 78.52°, intensity 12, hkl 5 3 3; d 1.204, 2θ = 79.61°, intensity 26, hkl 6 2 2

Structure and calculated powder X-ray diffraction pattern of Tb6Br7 (a crystal structure in OQMD, relaxed with PBE; Cu Ka).

Crystal structure
```
data_Tb6Br7
_cell_length_a 20.9721
_cell_length_b 3.7723
_cell_length_c 11.7066
_cell_angle_alpha 90.00
_cell_angle_beta 123.31
_cell_angle_gamma 90.00
_symmetry_space_group_name_H-M 'C 1 2/m 1'
_symmetry_Int_Tables_number 12
_symmetry_space_group_name_Hall '-C 2y'
loop_
_atom_site_label
_atom_site_type_symbol
_atom_site_fract_x
_atom_site_fract_y
_atom_site_fract_z
_atom_site_occupancy
Tb1 Tb 0.1283 0.0000 0.0575 1
Tb2 Tb 0.1811 0.5000 0.8603 1
Tb3 Tb 0.2261 0.0000 0.6510 1
Br1 Br 0.0000 0.5000 0.0000 1
Br2 Br 0.0502 0.0000 0.7700 1
Br3 Br 0.1038 0.5000 0.5561 1
Br4 Br 0.1638 0.0000 0.3431 1
```

Largest 10 diffraction maxima, by angle, 15° ≤ 2θ ≤ 90°:
d 3.118, 2θ = 28.63°, intensity 28, hkl 3 1 -2; d 2.794, 2θ = 32.04°, intensity 22, hkl 1 1 2; d 2.785, 2θ = 32.14°, intensity 41, hkl 2 0 -4; d 2.772, 2θ = 32.29°, intensity 100, hkl 5 1 -1; d 2.596, 2θ = 34.55°, intensity 17, hkl 1 1 -3; d 2.454, 2θ = 36.62°, intensity 15, hkl 6 0 1; d 1.995, 2θ = 45.47°, intensity 28, hkl 3 1 3; d 1.936, 2θ = 46.93°, intensity 25, hkl 7 1 -5; d 1.886, 2θ = 48.25°, intensity 16, hkl 0 2 0; d 1.561, 2θ = 59.17°, intensity 15, hkl 2 2 -4

Structure and calculated powder X-ray diffraction pattern of Tb4ZrBr (a crystal structure in OQMD, relaxed with PBE; Cu Ka).

Crystal structure
```
data_Tb4ZrBr
_cell_length_a 8.7132
_cell_length_b 8.8958
_cell_length_c 5.1531
_cell_angle_alpha 90.00
_cell_angle_beta 90.00
_cell_angle_gamma 90.00
_symmetry_space_group_name_H-M 'C m m m'
_symmetry_Int_Tables_number 65
_symmetry_space_group_name_Hall '-C 2 2'
loop_
_atom_site_label
_atom_site_type_symbol
_atom_site_fract_x
_atom_site_fract_y
_atom_site_fract_z
_atom_site_occupancy
Tb1 Tb 0.0000 0.1857 0.0000 1
Tb2 Tb 0.1843 0.5000 0.5000 1
Zr1 Zr 0.0000 0.5000 0.0000 1
Br1 Br 0.0000 0.0000 0.5000 1
```

Largest 10 diffraction maxima, by angle, 15° ≤ 2θ ≤ 90°:
d 4.448, 2θ = 19.96°, intensity 27, hkl 0 2 0; d 3.367, 2θ = 26.47°, intensity 96, hkl 0 2 1; d 3.327, 2θ = 26.80°, intensity 100, hkl 2 0 1; d 2.807, 2θ = 31.88°, intensity 41, hkl 1 3 0; d 2.761, 2θ = 32.43°, intensity 35, hkl 3 1 0; d 2.577, 2θ = 34.82°, intensity 56, hkl 0 0 2; d 2.465, 2θ = 36.45°, intensity 36, hkl 1 3 1; d 2.434, 2θ = 36.94°, intensity 36, hkl 3 1 1; d 1.925, 2θ = 47.22°, intensity 87, hkl 3 3 1; d 1.898, 2θ = 47.92°, intensity 27, hkl 1 3 2

Structure and calculated powder X-ray diffraction pattern of TeWBr9 (a crystal structure in OQMD, relaxed with PBE; Cu Ka).

Crystal structure
```
data_TeWBr9
_cell_length_a 6.6650
_cell_length_b 11.4656
_cell_length_c 9.9913
_cell_angle_alpha 90.00
_cell_angle_beta 103.33
_cell_angle_gamma 90.00
_symmetry_space_group_name_H-M 'P 1 21/m 1'
_symmetry_Int_Tables_number 11
_symmetry_space_group_name_Hall '-P 2yb'
loop_
_atom_site_label
_atom_site_type_symbol
_atom_site_fract_x
_atom_site_fract_y
_atom_site_fract_z
_atom_site_occupancy
Te1 Te 0.2417 0.2500 0.4625 1
W1 W 0.3575 0.2500 0.8589 1
Br1 Br 0.0022 0.2500 0.6842 1
Br2 Br 0.0358 0.0839 0.3261 1
Br3 Br 0.2385 0.0928 0.9850 1
Br4 Br 0.2923 0.7500 0.0003 1
Br5 Br 0.4633 0.0973 0.6961 1
Br6 Br 0.4653 0.7500 0.6626 1
```

Largest 10 diffraction maxima, by angle, 15° ≤ 2θ ≤ 90°:
d 5.733, 2θ = 15.46°, intensity 63, hkl 0 2 0; d 5.645, 2θ = 15.70°, intensity 89, hkl 1 1 0; d 4.475, 2θ = 19.84°, intensity 43, hkl 0 1 2; d 3.041, 2θ = 29.37°, intensity 39, hkl 2 0 -2; d 3.013, 2θ = 29.65°, intensity 79, hkl 1 3 1; d 2.886, 2θ = 30.99°, intensity 100, hkl 2 0 1; d 2.458, 2θ = 36.56°, intensity 64, hkl 1 3 -3; d 1.921, 2θ = 47.33°, intensity 59, hkl 3 3 -1; d 1.911, 2θ = 47.59°, intensity 35, hkl 0 6 0; d 1.854, 2θ = 49.13°, intensity 32, hkl 1 3 4

Number 2 is which compound? TaBr8

Copy entry 1 word for word.
Structure and calculated powder X-ray diffraction pattern of Ta3Br2 (a crystal structure in OQMD, relaxed with PBE; Cu Ka).

Crystal structure
```
data_Ta3Br2
_cell_length_a 6.8469
_cell_length_b 6.8469
_cell_length_c 14.6400
_cell_angle_alpha 90.00
_cell_angle_beta 90.00
_cell_angle_gamma 120.00
_symmetry_space_group_name_H-M 'R -3 c'
_symmetry_Int_Tables_number 167
_symmetry_space_group_name_Hall '-R 3 2"c'
loop_
_atom_site_label
_atom_site_type_symbol
_atom_site_fract_x
_atom_site_fract_y
_atom_site_fract_z
_atom_site_occupancy
Ta1 Ta 0.0000 0.2393 0.2500 1
Br1 Br 0.0000 0.0000 0.0981 1
```

Largest 10 diffraction maxima, by angle, 15° ≤ 2θ ≤ 90°:
d 4.608, 2θ = 19.26°, intensity 34, hkl 0 1 2; d 2.803, 2θ = 31.93°, intensity 100, hkl 1 1 3; d 2.748, 2θ = 32.59°, intensity 23, hkl 2 0 2; d 2.440, 2θ = 36.84°, intensity 47, hkl 0 0 6; d 2.304, 2θ = 39.10°, intensity 24, hkl 0 2 4; d 2.215, 2θ = 40.73°, intensity 67, hkl 2 1 1; d 2.143, 2θ = 42.17°, intensity 28, hkl 1 2 2; d 1.911, 2θ = 47.58°, intensity 32, hkl 2 1 4; d 1.780, 2θ = 51.34°, intensity 34, hkl 1 2 5; d 1.529, 2θ = 60.55°, intensity 21, hkl 2 1 7